# Tl4IN12
Simulated powder diffractogram, CuKα. Input: the GGA-PBE geometry in Alexandria.
Neutral-atom scattering factors, no anomalous dispersion.

Cell and atoms:
Cell lengths 9.8473, 9.8473, 9.8473 Å; angles 90.00, 90.00, 90.00 degrees
Space group Im-3 (No. 204)
Inequivalent atoms, fractional coordinates:
Tl  0.2500  0.2500  0.2500
I  0.0000  0.0000  0.0000
N  0.0000  0.3525  0.0576

The 6 most intense peaks (10° ≤ 2θ ≤ 90°), low angle first:
| (hkl) | Position (°2θ) | I/Imax |
| --- | --- | --- |
| 2 0 0 | 18.02 | 43 |
| 2 2 0 | 25.59 | 100 |
| 2 2 2 | 31.47 | 22 |
| 4 2 0 | 40.99 | 32 |
| 4 2 2 | 45.10 | 39 |
| 6 2 4 | 71.73 | 23 |

=====

# Na3I4
Simulated powder diffractogram, CuKα. Input: the GGA-PBE geometry in Alexandria.
Neutral-atom scattering factors, no anomalous dispersion.

Cell and atoms:
Cell lengths 6.6830, 6.2933, 12.9432 Å; angles 90.00, 100.85, 90.00 degrees
Space group C2/m (No. 12)
Inequivalent atoms, fractional coordinates:
Na  0.0000  0.0000  0.0000
Na  0.1993  0.5000  0.3754
I  0.0586  0.5000  0.8801
I  0.1951  0.0000  0.3695

The 6 most intense peaks (10° ≤ 2θ ≤ 90°), low angle first:
| (hkl) | Position (°2θ) | I/Imax |
| --- | --- | --- |
| 1 1 1 | 21.62 | 100 |
| 1 1 -3 | 26.81 | 87 |
| 0 0 4 | 28.10 | 61 |
| 0 2 0 | 28.36 | 54 |
| 0 2 4 | 40.35 | 46 |
| 1 1 5 | 42.97 | 23 |

=====

# NaI
Simulated powder diffractogram, CuKα. Input: the GGA-PBE geometry in Alexandria.
Neutral-atom scattering factors, no anomalous dispersion.

Cell and atoms:
Cell lengths 4.0616, 4.0616, 4.0616 Å; angles 90.00, 90.00, 90.00 degrees
Space group Pm-3m (No. 221)
Inequivalent atoms, fractional coordinates:
Na  0.0000  0.0000  0.0000
I  0.5000  0.5000  0.5000

The 6 most intense peaks (10° ≤ 2θ ≤ 90°), low angle first:
| (hkl) | Position (°2θ) | I/Imax |
| --- | --- | --- |
| 1 0 0 | 21.88 | 55 |
| 1 1 0 | 31.14 | 100 |
| 1 1 1 | 38.39 | 17 |
| 2 0 0 | 44.62 | 18 |
| 2 1 0 | 50.23 | 23 |
| 2 1 1 | 55.41 | 38 |

=====

# NaI2
Simulated powder diffractogram, CuKα. Input: the GGA-PBE geometry in Alexandria.
Neutral-atom scattering factors, no anomalous dispersion.

Cell and atoms:
Cell lengths 12.1736, 4.6705, 8.9559 Å; angles 90.00, 108.72, 90.00 degrees
Space group C2/c (No. 15)
Inequivalent atoms, fractional coordinates:
Na  0.0000  0.1176  0.2500
I  0.1259  0.3702  0.0015

The 6 most intense peaks (10° ≤ 2θ ≤ 90°), low angle first:
| (hkl) | Position (°2θ) | I/Imax |
| --- | --- | --- |
| 1 1 0 | 20.52 | 43 |
| 0 0 2 | 20.95 | 100 |
| 1 1 -1 | 21.90 | 44 |
| 1 1 1 | 24.18 | 60 |
| 4 0 -2 | 31.43 | 53 |
| 2 2 -1 | 41.81 | 48 |

=====

# NaI3
Simulated powder diffractogram, CuKα. Input: the GGA-PBE geometry in Alexandria.
Neutral-atom scattering factors, no anomalous dispersion.

Cell and atoms:
Cell lengths 9.9413, 9.1104, 9.4607 Å; angles 90.00, 113.44, 90.00 degrees
Space group P2_1/c (No. 14)
Inequivalent atoms, fractional coordinates:
Na  0.1908  0.0489  0.4307
I  0.0784  0.1935  0.6763
I  0.2720  0.5759  0.2955
I  0.4306  0.6507  0.8771

The 6 most intense peaks (10° ≤ 2θ ≤ 90°), low angle first:
| (hkl) | Position (°2θ) | I/Imax |
| --- | --- | --- |
| 0 0 2 | 20.48 | 58 |
| 2 1 0 | 21.80 | 93 |
| 2 0 -2 | 21.96 | 67 |
| 0 1 2 | 22.70 | 100 |
| 2 1 -2 | 24.05 | 44 |
| 2 2 1 | 32.23 | 69 |

=====

# NaI
Simulated powder diffractogram, CuKα. Input: the GGA-PBE geometry in Alexandria.
Neutral-atom scattering factors, no anomalous dispersion.

Cell and atoms:
Cell lengths 12.8851, 12.8851, 5.2429 Å; angles 90.00, 90.00, 90.00 degrees
Space group I4/m (No. 87)
Inequivalent atoms, fractional coordinates:
Na  0.1307  0.7054  0.0000
I  0.1072  0.2854  0.0000

The 6 most intense peaks (10° ≤ 2θ ≤ 90°), low angle first:
| (hkl) | Position (°2θ) | I/Imax |
| --- | --- | --- |
| 2 0 0 | 13.75 | 37 |
| 1 3 0 | 21.81 | 63 |
| 2 1 1 | 22.93 | 100 |
| 4 2 0 | 31.04 | 26 |
| 5 0 1 | 38.94 | 65 |
| 1 3 2 | 40.94 | 24 |